Record 1
Structure and computed X-ray powder pattern of SrPRuAu (a structure optimized by DFT (PBE); Cu Kα, 1.54184 Å).
Peak positions follow from Bragg's law for the DFT cell and can differ from measured ones.

Cell: 7.414 7.414 7.414 Å, 29.16 29.16 29.16°
Element x y z (fractional)
1 Sr 0.000 0.000 0.000
2 P 0.430 0.430 0.430
3 Ru 0.805 0.805 0.805
4 Au 0.559 0.559 0.559

Largest 6 diffraction maxima, in order of rising 2θ, 2θ from 10° to 90°:
- 2θ 12.5, d 7.094, rel. 59
- 2θ 27.9, d 3.196, rel. 55
- 2θ 28.9, d 3.093, rel. 50
- 2θ 32.4, d 2.763, rel. 100
- 2θ 34.8, d 2.574, rel. 88
- 2θ 48.8, d 1.866, rel. 65

***

Record 2
Structure and computed X-ray powder pattern of P2AuS (a structure optimized by DFT (PBE); Cu Kα, 1.54184 Å).
Peak positions follow from Bragg's law for the DFT cell and can differ from measured ones.

Cell: 4.179 3.476 5.090 Å, 90.00 95.37 90.00°
Element x y z (fractional)
1 P 0.000 0.000 0.000
2 P 0.356 0.500 0.042
3 Au 0.918 0.000 0.503
4 S 0.431 0.500 0.464

Largest 6 diffraction maxima, in order of rising 2θ, 2θ from 10° to 90°:
- 2θ 17.5, d 5.068, rel. 81
- 2θ 21.4, d 4.161, rel. 49
- 2θ 31.2, d 2.867, rel. 40
- 2θ 33.6, d 2.668, rel. 100
- 2θ 35.4, d 2.534, rel. 43
- 2θ 51.2, d 1.785, rel. 40

***

Record 3
Structure and computed X-ray powder pattern of P2AuS (a structure optimized by DFT (PBE); Cu Kα, 1.54184 Å).
Peak positions follow from Bragg's law for the DFT cell and can differ from measured ones.

Cell: 3.496 4.852 5.135 Å, 115.45 96.88 99.62°
Element x y z (fractional)
1 P 0.000 0.000 0.000
2 P 0.395 0.645 0.882
3 Au 0.031 0.103 0.551
4 S 0.566 0.592 0.260

Largest 6 diffraction maxima, in order of rising 2θ, 2θ from 10° to 90°:
- 2θ 19.6, d 4.528, rel. 70
- 2θ 20.9, d 4.249, rel. 77
- 2θ 21.1, d 4.211, rel. 99
- 2θ 29.6, d 3.021, rel. 100
- 2θ 35.3, d 2.540, rel. 66
- 2θ 37.9, d 2.372, rel. 66

***

Record 4
Structure and computed X-ray powder pattern of P2AuSe6 (a structure optimized by DFT (PBE); Cu Kα, 1.54184 Å).
Peak positions follow from Bragg's law for the DFT cell and can differ from measured ones.

Cell: 6.742 6.742 7.228 Å, 90.00 90.00 120.00°
Element x y z (fractional)
1 P 0.333 0.667 0.061
2 P 0.667 0.333 0.939
3 Au 0.000 0.000 0.000
4 Se 0.169 0.339 0.234
5 Se 0.169 0.831 0.234
6 Se 0.339 0.169 0.766
7 Se 0.661 0.831 0.234
8 Se 0.831 0.169 0.766
9 Se 0.831 0.661 0.766

Largest 6 diffraction maxima, in order of rising 2θ, 2θ from 10° to 90°:
- 2θ 12.2, d 7.228, rel. 78
- 2θ 15.2, d 5.839, rel. 83
- 2θ 19.5, d 4.542, rel. 100
- 2θ 33.1, d 2.707, rel. 83
- 2θ 36.4, d 2.465, rel. 58
- 2θ 39.7, d 2.271, rel. 49